Entry 1:
Diffraction record for TbTl2SnSe4. The powder X-ray diffraction pattern is theoretical, not measured: it uses a structure optimized by DFT (PBE) and Cu Kα (weighted mean of Kα1 and Kα2).
Intensities are scaled so that the largest is 100.

a = 7.381 Å, b = 4.139 Å, c = 8.053 Å
α = 90.00°, β = 107.35°, γ = 90.00°
Space group P2/m (No. 10)
Inequivalent atoms, fractional coordinates:
Tb (0.000, 0.000, 0.000) (multiplicity 1)
Tl (0.000, 0.500, 0.500) (multiplicity 1)
Tl (0.500, 0.000, 0.500) (multiplicity 1)
Sn (0.500, 0.500, 0.000) (multiplicity 1)
Se (0.235, 0.500, 0.206) (multiplicity 2)
Se (0.261, 0.000, 0.791) (multiplicity 2)

Most intense lines, 2θ from 10° to 80°, sorted by position:
2θ (°), Rel. int., h k l
23.1, 15, 0 0 2
25.9, 18, 1 1 -1
28.8, 51, 2 0 -2
29.1, 100, 1 1 1
39.5, 20, 2 0 2
40.1, 37, 1 1 -3
42.8, 37, 3 1 -1
43.7, 17, 0 2 0
53.2, 19, 2 2 -2
70.2, 13, 4 2 0

=====

Entry 2:
Diffraction record for Sn5Te4Se. The powder X-ray diffraction pattern is theoretical, not measured: it uses a structure optimized by DFT (PBE) and Cu Kα (weighted mean of Kα1 and Kα2).
Intensities are scaled so that the largest is 100.

a = 4.481 Å, b = 4.481 Å, c = 31.647 Å
α = 90.00°, β = 90.00°, γ = 90.00°
Space group I4/mmm (No. 139)
Inequivalent atoms, fractional coordinates:
Sn (0.000, 0.000, 0.000) (multiplicity 2)
Sn (0.000, 0.000, 0.201) (multiplicity 4)
Sn (0.000, 0.000, 0.404) (multiplicity 4)
Te (0.000, 0.000, 0.100) (multiplicity 4)
Te (0.000, 0.000, 0.302) (multiplicity 4)
Se (0.000, 0.000, 0.500) (multiplicity 2)

Most intense lines, 2θ from 10° to 80°, sorted by position:
2θ (°), Rel. int., h k l
28.2, 100, 1 1 0
32.4, 1, 1 0 9
40.3, 77, 2 0 0
49.9, 28, 2 0 10
58.3, 13, 2 2 0
59.2, 1, 1 0 19
65.9, 24, 3 1 0
66.0, 11, 1 1 20
73.2, 26, 3 1 10
74.0, 1, 2 1 19

=====

Entry 3:
Diffraction record for Sn3TeSe3. The powder X-ray diffraction pattern is theoretical, not measured: it uses a structure optimized by DFT (PBE) and Cu Kα (weighted mean of Kα1 and Kα2).
Intensities are scaled so that the largest is 100.

a = 12.089 Å, b = 11.690 Å, c = 5.856 Å
α = 90.00°, β = 90.00°, γ = 90.00°
Space group Cmcm (No. 63)
Inequivalent atoms, fractional coordinates:
Sn (0.000, 0.136, 0.250) (multiplicity 4)
Sn (0.248, 0.125, 0.750) (multiplicity 8)
Te (0.000, 0.390, 0.250) (multiplicity 4)
Se (0.000, 0.117, 0.750) (multiplicity 4)
Se (0.238, 0.124, 0.250) (multiplicity 8)

Most intense lines, 2θ from 10° to 80°, sorted by position:
2θ (°), Rel. int., h k l
18.5, 20, 1 1 1
21.5, 12, 0 2 1
29.6, 55, 4 0 0
30.6, 100, 0 0 2
43.0, 77, 4 0 2
43.8, 37, 0 4 2
53.7, 40, 4 4 2
72.2, 16, 0 4 4
78.4, 13, 8 4 2
79.9, 24, 4 4 4

=====

Entry 4:
Diffraction record for Sn5TeSe4. The powder X-ray diffraction pattern is theoretical, not measured: it uses a structure optimized by DFT (PBE) and Cu Kα (weighted mean of Kα1 and Kα2).
Intensities are scaled so that the largest is 100.

a = 9.686 Å, b = 9.686 Å, c = 6.202 Å
α = 90.00°, β = 90.00°, γ = 90.00°
Space group I4 (No. 79)
Inequivalent atoms, fractional coordinates:
Sn (0.000, 0.000, 0.000) (multiplicity 2)
Sn (0.107, 0.308, 0.525) (multiplicity 8)
Te (0.000, 0.000, 0.490) (multiplicity 2)
Se (0.106, 0.297, 0.988) (multiplicity 8)

Most intense lines, 2θ from 10° to 80°, sorted by position:
2θ (°), Rel. int., h k l
28.8, 49, 0 0 2
29.2, 100, 1 3 0
41.4, 74, 1 3 2
41.7, 38, 4 2 0
51.5, 39, 4 2 2
60.4, 12, 2 6 0
67.7, 15, 1 3 4
68.3, 17, 2 6 2
68.5, 17, 7 1 0
75.9, 25, 7 1 2

=====

Entry 5:
Diffraction record for Sn4TeSe4. The powder X-ray diffraction pattern is theoretical, not measured: it uses a structure optimized by DFT (PBE) and Cu Kα (weighted mean of Kα1 and Kα2).
Intensities are scaled so that the largest is 100.

a = 9.500 Å, b = 9.500 Å, c = 5.900 Å
α = 90.00°, β = 90.00°, γ = 90.00°
Space group I4/m (No. 87)
Inequivalent atoms, fractional coordinates:
Sn (0.094, 0.695, 0.000) (multiplicity 8)
Te (0.000, 0.000, 0.000) (multiplicity 2)
Se (0.103, 0.688, 0.500) (multiplicity 8)

Most intense lines, 2θ from 10° to 80°, sorted by position:
2θ (°), Rel. int., h k l
17.7, 25, 1 0 1
29.7, 100, 3 1 0
30.3, 48, 0 0 2
42.6, 39, 2 4 0
43.0, 74, 3 1 2
53.1, 40, 2 4 2
70.0, 17, 5 5 0
70.3, 17, 6 2 2
71.2, 17, 3 1 4
78.2, 26, 5 5 2

=====

Entry 6:
Diffraction record for Y8Sn3Te4Se. The powder X-ray diffraction pattern is theoretical, not measured: it uses a structure optimized by DFT (PBE) and Cu Kα (weighted mean of Kα1 and Kα2).
Intensities are scaled so that the largest is 100.

a = 8.7048 Å, b = 8.7048 Å, c = 21.4612 Å
α = 90.00°, β = 90.00°, γ = 120.00°
Space group R-3m (No. 166, hexagonal axes)
Inequivalent atoms, fractional coordinates:
Y (0.0000, 0.0000, 0.2462) (multiplicity 6)
Y (0.0011, 0.5006, 0.2444) (multiplicity 18)
Sn (0.0000, 0.5000, 0.5000) (multiplicity 9)
Te (0.0000, 0.0000, 0.0000) (multiplicity 3)
Te (0.0000, 0.5000, 0.0000) (multiplicity 9)
Se (0.0000, 0.0000, 0.5000) (multiplicity 3)

Most intense lines, 2θ from 10° to 80°, sorted by position:
2θ (°), Rel. int., h k l
28.9, 100, 0 2 4
41.3, 37, 2 0 8
41.5, 38, 2 2 0
51.1, 6, 0 0 12
51.4, 20, 4 0 4
60.0, 12, 0 4 8
67.8, 16, 2 2 12
68.1, 17, 2 4 4
75.6, 12, 4 2 8
75.7, 6, 6 0 0

=====

Entry 7:
Diffraction record for TiSn2Se4. The powder X-ray diffraction pattern is theoretical, not measured: it uses a structure optimized by DFT (PBE) and Cu Kα (weighted mean of Kα1 and Kα2).
Intensities are scaled so that the largest is 100.

a = 3.649 Å, b = 14.048 Å, c = 14.019 Å
α = 90.00°, β = 90.00°, γ = 90.00°
Space group Cmcm (No. 63)
Inequivalent atoms, fractional coordinates:
Ti (0.000, 0.130, 0.250) (multiplicity 4)
Sn (0.000, 0.373, 0.078) (multiplicity 8)
Se (0.000, 0.000, 0.000) (multiplicity 4)
Se (0.000, 0.298, 0.634) (multiplicity 8)
Se (0.000, 0.494, 0.250) (multiplicity 4)

Most intense lines, 2θ from 10° to 80°, sorted by position:
2θ (°), Rel. int., h k l
22.9, 88, 0 2 3
25.2, 44, 1 1 0
28.5, 90, 0 2 4
31.1, 56, 1 3 0
31.7, 56, 1 3 1
33.7, 100, 1 3 2
41.1, 67, 1 1 5
42.6, 55, 1 5 2
43.2, 49, 0 6 3
46.6, 66, 0 4 6

=====

Entry 8:
Diffraction record for Tl14Sn2Se9. The powder X-ray diffraction pattern is theoretical, not measured: it uses a structure optimized by DFT (PBE) and Cu Kα (weighted mean of Kα1 and Kα2).
Intensities are scaled so that the largest is 100.

a = 7.6093 Å, b = 7.6093 Å, c = 18.5760 Å
α = 90.00°, β = 90.00°, γ = 120.00°
Space group P-3 (No. 147)
Inequivalent atoms, fractional coordinates:
Tl (0.0000, 0.0000, 0.2361) (multiplicity 2)
Tl (0.0288, 0.3506, 0.0918) (multiplicity 6)
Tl (0.0300, 0.3601, 0.5766) (multiplicity 6)
Sn (0.3333, 0.6667, 0.2563) (multiplicity 2)
Se (0.0000, 0.0000, 0.0000) (multiplicity 1)
Se (0.0408, 0.3469, 0.3332) (multiplicity 6)
Se (0.3333, 0.6667, 0.9850) (multiplicity 2)

Most intense lines, 2θ from 10° to 80°, sorted by position:
2θ (°), Rel. int., h k l
25.3, 65, 1 1 2
28.8, 16, 0 0 6
30.4, 100, 2 -1 4
33.7, 11, 1 1 5
41.1, 44, 3 0 0
45.8, 30, 1 1 8
48.9, 10, 4 -2 2
51.0, 18, 3 0 6
51.9, 19, 2 2 4
68.3, 15, 5 -1 4